(1)
This entry pairs a crystal structure of Li9Nb14S28 with its calculated X-ray powder pattern. Radiation: CuKα. Structure: a DFT-relaxed cell (GGA-PBE, Alexandria).
Lines closer than 0.1° are merged.

Most intense lines, 2θ from 5° to 70°, by angle:
2θ/deg	intensity
13.6	100
30.6	19
31.4	15
33.6	58
41.5	66
52.5	18
54.4	22
56.3	14

a b c (Å): 5.843 12.167 13.447
angles (deg): 75.90 89.99 76.16
Fractional coordinates of all 51 atoms:
Li1 0.000 0.000 0.000
Li2 0.072 0.858 0.500
Li3 0.214 0.572 0.500
Li4 0.286 0.430 0.000
Li5 0.426 0.149 0.000
Li6 0.574 0.851 0.000
Li7 0.714 0.570 0.000
Li8 0.786 0.428 0.500
Li9 0.928 0.142 0.500
Nb1 0.036 0.929 0.249
Nb2 0.105 0.785 0.751
Nb3 0.178 0.643 0.249
Nb4 0.250 0.500 0.750
Nb5 0.320 0.357 0.251
Nb6 0.394 0.214 0.750
Nb7 0.463 0.072 0.250
Nb8 0.537 0.928 0.750
Nb9 0.606 0.786 0.250
Nb10 0.680 0.643 0.749
Nb11 0.750 0.500 0.250
Nb12 0.822 0.357 0.751
Nb13 0.895 0.215 0.249
Nb14 0.964 0.071 0.751
S1 0.044 0.248 0.630
S2 0.066 0.535 0.130
S3 0.077 0.181 0.871
S4 0.101 0.465 0.371
S5 0.186 0.963 0.630
S6 0.208 0.249 0.129
S7 0.220 0.894 0.871
S8 0.244 0.180 0.370
S9 0.329 0.678 0.630
S10 0.352 0.963 0.128
S11 0.363 0.609 0.870
S12 0.386 0.895 0.369
S13 0.472 0.391 0.629
S14 0.493 0.677 0.130
S15 0.507 0.323 0.870
S16 0.528 0.609 0.371
S17 0.614 0.105 0.631
S18 0.637 0.391 0.130
S19 0.648 0.037 0.872
S20 0.671 0.322 0.370
S21 0.756 0.820 0.630
S22 0.780 0.106 0.129
S23 0.792 0.751 0.871
S24 0.814 0.037 0.370
S25 0.899 0.535 0.629
S26 0.923 0.819 0.129
S27 0.934 0.465 0.870
S28 0.956 0.752 0.370

=====

(2)
This entry pairs a crystal structure of Sc3Ga3Au with its calculated X-ray powder pattern. Radiation: CuKα. Structure: a DFT-relaxed cell (GGA-PBE, Alexandria).
Lines closer than 0.1° are merged.

Most intense lines, 2θ from 5° to 70°, by angle:
2θ/deg	intensity
9.5	78
21.2	33
26.8	57
35.1	100
35.9	37
39.9	78
42.0	38
45.0	49

a b c (Å): 9.681 9.681 9.681
angles (deg): 159.92 154.31 32.82
Fractional coordinates of all 7 atoms:
Sc1 0.000 0.000 0.000
Sc2 0.394 0.394 0.000
Sc3 0.696 0.196 0.500
Ga1 0.128 0.628 0.500
Ga2 0.550 0.550 0.000
Ga3 0.848 0.848 0.000
Au1 0.265 0.765 0.500

=====

(3)
This entry pairs a crystal structure of K5ReCl2O4 with its calculated X-ray powder pattern. Radiation: CuKα. Structure: a DFT-relaxed cell (GGA-PBE, Alexandria).
Lines closer than 0.1° are merged.

Most intense lines, 2θ from 5° to 70°, by angle:
2θ/deg	intensity
10.7	62
15.6	65
18.9	57
20.3	40
26.6	100
28.4	33
29.1	75
38.4	61

a b c (Å): 8.284 6.184 6.184
angles (deg): 113.34 90.00 90.00
Fractional coordinates of all 12 atoms:
K1 0.000 0.000 0.000
K2 0.292 0.220 0.583
K3 0.292 0.583 0.220
K4 0.708 0.220 0.583
K5 0.708 0.583 0.220
Re1 0.500 0.915 0.915
Cl1 0.000 0.468 0.871
Cl2 0.000 0.871 0.468
O1 0.334 0.106 0.106
O2 0.500 0.605 0.888
O3 0.500 0.888 0.605
O4 0.666 0.106 0.106

=====

(4)
This entry pairs a crystal structure of HoB5Rh7 with its calculated X-ray powder pattern. Radiation: CuKα. Structure: a DFT-relaxed cell (GGA-PBE, Alexandria).
Lines closer than 0.1° are merged.

Most intense lines, 2θ from 5° to 70°, by angle:
2θ/deg	intensity
30.5	46
36.5	100
36.6	60
37.3	95
39.6	58
44.3	48
45.4	73
52.7	42

a b c (Å): 6.174 6.174 6.174
angles (deg): 133.00 95.60 102.73
Fractional coordinates of all 13 atoms:
Ho1 0.000 0.000 0.000
B1 0.205 0.705 0.500
B2 0.509 0.067 0.075
B3 0.509 0.433 0.442
B4 0.992 0.067 0.558
B5 0.992 0.433 0.925
Rh1 0.245 0.912 0.333
Rh2 0.252 0.547 0.705
Rh3 0.332 0.332 0.000
Rh4 0.579 0.912 0.667
Rh5 0.668 0.668 0.000
Rh6 0.747 0.247 0.500
Rh7 0.843 0.547 0.295

=====

(5)
This entry pairs a crystal structure of VInRh with its calculated X-ray powder pattern. Radiation: CuKα. Structure: a DFT-relaxed cell (GGA-PBE, Alexandria).
Lines closer than 0.1° are merged.

Most intense lines, 2θ from 5° to 70°, by angle:
2θ/deg	intensity
31.3	14
32.2	8
39.0	100
43.2	39
49.2	11
62.8	12
66.9	7
67.6	16

a b c (Å): 5.934 5.934 5.934
angles (deg): 151.10 151.10 41.33
Fractional coordinates of all 3 atoms:
V1 0.000 0.000 0.000
In1 0.315 0.315 0.000
Rh1 0.632 0.632 0.000

=====

(6)
This entry pairs a crystal structure of CaUBr6 with its calculated X-ray powder pattern. Radiation: CuKα. Structure: a DFT-relaxed cell (GGA-PBE, Alexandria).
Lines closer than 0.1° are merged.

Most intense lines, 2θ from 5° to 70°, by angle:
2θ/deg	intensity
13.0	25
13.4	70
14.7	37
16.9	64
29.3	100
31.3	45
38.0	28
43.4	67

a b c (Å): 7.491 7.491 7.114
angles (deg): 97.99 97.99 123.36
Fractional coordinates of all 8 atoms:
Ca1 0.000 0.000 0.000
U1 0.500 0.500 0.500
Br1 0.115 0.407 0.258
Br2 0.256 0.256 0.742
Br3 0.407 0.115 0.258
Br4 0.593 0.885 0.742
Br5 0.744 0.744 0.258
Br6 0.885 0.593 0.742

=====

Q: What is the formula in the sixth record?
A: CaUBr6

=====

Q: Number 1 is which compound?
A: Li9Nb14S28